(1)
LaHo5Cd6: calculated powder diffractogram (Cu Kα, 1.54184 Å), based on a DFT-relaxed cell (GGA-PBE, Alexandria).
No peak broadening, texture or thermal motion is included.

Crystal structure
Cell: 5.2954 15.9567 7.5774 Å, 90.00 90.00 90.00°
Space group Cmmm (No. 65)
One atom of each set of equivalent atoms:
La (0.0000, 0.0000, 0.0000) [2 per cell]
Ho (0.0000, 0.0000, 0.5000) [2 per cell]
Ho (0.0000, 0.3312, 0.0000) [4 per cell]
Ho (0.0000, 0.3371, 0.5000) [4 per cell]
Cd (0.0000, 0.1716, 0.2594) [8 per cell]
Cd (0.0000, 0.5000, 0.2582) [4 per cell]

Main lines, low angle first (2θ = 15–90°):
d_spacing	Position (°2θ)	I/Imax
2.665	33.63	100.0
2.648	33.86	19.8
1.894	48.03	7.2
1.876	48.52	14.1
1.543	59.95	7.2
1.541	60.05	7.3
1.537	60.22	14.2
1.532	60.42	14.5
1.333	70.66	8.8
1.188	80.92	9.0

(2)
PmErAl2Ga2: calculated powder diffractogram (Cu Kα, 1.54184 Å), based on a DFT-relaxed cell (GGA-PBE, Alexandria).
No peak broadening, texture or thermal motion is included.

Crystal structure
Cell: 4.4057 4.4057 7.5913 Å, 90.00 90.00 120.00°
Space group P-3m1 (No. 164)
One atom of each set of equivalent atoms:
Pm (0.0000, 0.0000, 0.0000) [1 per cell]
Er (0.0000, 0.0000, 0.5000) [1 per cell]
Al (0.3333, 0.6667, 0.2586) [2 per cell]
Ga (0.3333, 0.6667, 0.7378) [2 per cell]

Main lines, low angle first (2θ = 15–90°):
d_spacing	Position (°2θ)	I/Imax
3.815	23.31	32.1
2.691	33.30	100.0
2.203	40.97	43.8
1.907	47.69	7.8
1.898	47.93	9.0
1.705	53.78	25.5
1.438	64.85	21.6
1.348	69.76	23.2
1.272	74.62	7.4
1.201	79.87	7.8

(3)
Pm3Pr2Y7: calculated powder diffractogram (Cu Kα, 1.54184 Å), based on a DFT-relaxed cell (GGA-PBE, Alexandria).
No peak broadening, texture or thermal motion is included.

Crystal structure
Cell: 5.9295 38.0189 3.6421 Å, 90.00 90.00 90.00°
Space group Cmmm (No. 65)
One atom of each set of equivalent atoms:
Pm (0.0000, 0.0000, 0.0000) [2 per cell]
Pm (0.0000, 0.1489, 0.0000) [4 per cell]
Pr (0.0000, 0.3251, 0.5000) [4 per cell]
Y (0.0000, 0.0725, 0.5000) [4 per cell]
Y (0.0000, 0.2285, 0.5000) [4 per cell]
Y (0.0000, 0.4127, 0.0000) [4 per cell]
Y (0.0000, 0.5000, 0.5000) [2 per cell]

Main lines, low angle first (2θ = 15–90°):
d_spacing	Position (°2θ)	I/Imax
3.168	28.17	25.7
2.986	29.92	29.6
2.965	30.14	56.2
2.873	31.13	40.0
2.695	33.25	100.0
2.623	34.19	15.5
2.165	41.73	17.6
1.821	50.09	13.4
1.654	55.55	25.8
1.552	59.58	16.9

(4)
Tb5Pr12Ho: calculated powder diffractogram (Cu Kα, 1.54184 Å), based on a DFT-relaxed cell (GGA-PBE, Alexandria).
No peak broadening, texture or thermal motion is included.

Crystal structure
Cell: 15.5084 15.5588 5.1900 Å, 90.00 90.00 90.00°
Space group Cmmm (No. 65)
One atom of each set of equivalent atoms:
Tb (0.0000, 0.0000, 0.0000) [2 per cell]
Tb (0.0000, 0.1664, 0.5000) [4 per cell]
Tb (0.0000, 0.3334, 0.0000) [4 per cell]
Pr (0.1642, 0.5000, 0.0000) [4 per cell]
Pr (0.1652, 0.0000, 0.5000) [4 per cell]
Pr (0.1649, 0.1666, 0.0000) [8 per cell]
Pr (0.1646, 0.3334, 0.5000) [8 per cell]
Ho (0.0000, 0.5000, 0.5000) [2 per cell]

Main lines, low angle first (2θ = 15–90°):
d_spacing	Position (°2θ)	I/Imax
2.992	29.86	100.0
2.594	34.58	34.0
2.585	34.71	16.8
1.833	49.75	24.3
1.831	49.81	12.1
1.564	59.07	29.0
1.560	59.24	14.3
1.496	62.04	12.5
1.188	80.90	11.7
1.160	83.31	8.2

(5)
Tl2CoBr6: calculated powder diffractogram (Cu Kα, 1.54184 Å), based on a DFT-relaxed cell (GGA-PBE, Alexandria).
No peak broadening, texture or thermal motion is included.

Crystal structure
Cell: 6.9521 6.9521 12.4847 Å, 90.00 90.00 90.00°
Space group P4_2/mnm (No. 136)
One atom of each set of equivalent atoms:
Tl (0.0000, 0.0000, 0.1558) [4 per cell]
Co (0.0000, 0.0000, 0.5000) [2 per cell]
Br (0.1740, 0.1740, 0.3615) [8 per cell]
Br (0.2461, 0.7539, 0.5000) [4 per cell]

Main lines, low angle first (2θ = 15–90°):
d_spacing	Position (°2θ)	I/Imax
4.916	18.05	100.0
3.571	24.94	34.6
3.176	28.09	37.5
3.017	29.61	20.6
2.491	36.06	69.7
2.458	36.56	33.0
2.278	39.55	14.3
2.201	41.01	18.2
2.025	44.76	35.9
1.563	59.13	17.0

(6)
YZnNi2: calculated powder diffractogram (Cu Kα, 1.54184 Å), based on a DFT-relaxed cell (GGA-PBE, Alexandria).
No peak broadening, texture or thermal motion is included.

Crystal structure
Cell: 4.1585 4.1585 8.8578 Å, 90.00 90.00 120.00°
Space group P6_3/mmc (No. 194)
One atom of each set of equivalent atoms:
Y (0.3333, 0.6667, 0.2500) [2 per cell]
Zn (0.0000, 0.0000, 0.0000) [2 per cell]
Ni (0.3333, 0.6667, 0.5632) [4 per cell]

Main lines, low angle first (2θ = 15–90°):
d_spacing	Position (°2θ)	I/Imax
4.429	20.05	14.9
2.794	32.03	26.8
2.283	39.47	100.0
2.214	40.75	11.5
2.079	43.53	95.5
1.537	60.19	27.1
1.516	61.14	20.0
1.366	68.72	14.3
1.236	77.17	25.0
1.200	79.91	14.4

(7)
Y3Pd8Pb2: calculated powder diffractogram (Cu Kα, 1.54184 Å), based on a DFT-relaxed cell (GGA-PBE, Alexandria).
No peak broadening, texture or thermal motion is included.

Crystal structure
Cell: 5.4912 5.4912 30.9414 Å, 90.00 90.00 120.00°
Space group R-3m (No. 166, hexagonal axes)
One atom of each set of equivalent atoms:
Y (0.0000, 0.0000, 0.0000) [3 per cell]
Y (0.0000, 0.0000, 0.1907) [6 per cell]
Pd (0.0000, 0.0000, 0.2810) [6 per cell]
Pd (0.0061, 0.5030, 0.7733) [18 per cell]
Pb (0.0000, 0.0000, 0.3680) [6 per cell]

Main lines, low angle first (2θ = 15–90°):
d_spacing	Position (°2θ)	I/Imax
4.051	21.94	31.1
2.746	32.61	50.1
2.653	33.78	42.2
2.422	37.13	100.0
2.350	38.30	56.2
2.220	40.65	32.0
2.145	42.12	29.5
2.094	43.20	24.9
1.515	61.19	41.7
1.373	68.33	29.7

(8)
TbNd2Pd3: calculated powder diffractogram (Cu Kα, 1.54184 Å), based on a DFT-relaxed cell (GGA-PBE, Alexandria).
No peak broadening, texture or thermal motion is included.

Crystal structure
Cell: 13.1693 5.9028 8.3616 Å, 90.00 108.54 90.00°
Space group C2/c (No. 15)
One atom of each set of equivalent atoms:
Tb (0.0000, 0.0059, 0.2500) [4 per cell]
Nd (0.1676, 0.4964, 0.0839) [8 per cell]
Pd (0.0000, 0.4940, 0.7500) [4 per cell]
Pd (0.1607, 0.0037, 0.5803) [8 per cell]

Main lines, low angle first (2θ = 15–90°):
d_spacing	Position (°2θ)	I/Imax
2.950	30.30	100.0
2.087	43.35	62.1
2.081	43.49	12.2
1.706	53.73	13.3
1.701	53.91	12.9
1.475	63.02	12.0
1.321	71.38	5.7
1.319	71.50	21.9
1.206	79.48	12.4
1.203	79.69	8.0

(9)
Na3Pu2Br8: calculated powder diffractogram (Cu Kα, 1.54184 Å), based on a DFT-relaxed cell (GGA-PBE, Alexandria).
No peak broadening, texture or thermal motion is included.

Crystal structure
Cell: 15.5533 8.2645 7.1582 Å, 90.00 108.95 90.00°
Space group C2/m (No. 12)
One atom of each set of equivalent atoms:
Na (0.0000, 0.0000, 0.0000) [2 per cell]
Na (0.0000, 0.2624, 0.5000) [4 per cell]
Pu (0.2426, 0.5000, 0.1741) [4 per cell]
Br (0.1157, 0.5000, 0.3901) [4 per cell]
Br (0.1175, 0.0000, 0.4339) [4 per cell]
Br (0.1276, 0.2392, 0.9177) [8 per cell]

Main lines, low angle first (2θ = 15–90°):
d_spacing	Position (°2θ)	I/Imax
5.379	16.48	100.0
4.583	19.37	80.4
4.134	21.49	83.5
3.603	24.71	41.1
2.893	30.91	45.4
2.793	32.05	68.5
2.752	32.54	61.3
2.387	37.68	56.9
2.354	38.23	53.6
2.066	43.82	97.7

(10)
Cs4Ho3MnSe8: calculated powder diffractogram (Cu Kα, 1.54184 Å), based on a DFT-relaxed cell (GGA-PBE, Alexandria).
No peak broadening, texture or thermal motion is included.

Crystal structure
Cell: 8.3830 8.3830 24.9990 Å, 90.00 90.00 120.00°
Space group R-3m (No. 166, hexagonal axes)
One atom of each set of equivalent atoms:
Cs (0.0000, 0.0000, 0.0000) [3 per cell]
Cs (0.0000, 0.5000, 0.0000) [9 per cell]
Ho (0.0000, 0.5000, 0.5000) [9 per cell]
Mn (0.0000, 0.0000, 0.5000) [3 per cell]
Se (0.0000, 0.0000, 0.2290) [6 per cell]
Se (0.0155, 0.5078, 0.2260) [18 per cell]

Main lines, low angle first (2θ = 15–90°):
d_spacing	Position (°2θ)	I/Imax
4.166	21.33	11.4
3.486	25.55	10.6
3.139	28.43	100.0
2.368	38.00	31.5
2.096	43.17	36.2
2.059	43.98	11.8
1.743	52.50	17.5
1.602	57.52	9.7
1.340	70.24	14.5
1.158	83.50	9.6

(11)
Y2Ho6ErSc: calculated powder diffractogram (Cu Kα, 1.54184 Å), based on a DFT-relaxed cell (GGA-PBE, Alexandria).
No peak broadening, texture or thermal motion is included.

Crystal structure
Cell: 9.0047 14.7728 9.3630 Å, 90.00 97.13 90.00°
Space group C2/c (No. 15)
One atom of each set of equivalent atoms:
Y (0.2481, 0.0510, 0.4535) [8 per cell]
Ho (0.0601, 0.3133, 0.9437) [8 per cell]
Ho (0.1000, 0.1082, 0.1163) [8 per cell]
Ho (0.2130, 0.2792, 0.3096) [8 per cell]
Er (0.0000, 0.4771, 0.2500) [4 per cell]
Sc (0.0000, 0.0871, 0.7500) [4 per cell]

Main lines, low angle first (2θ = 15–90°):
d_spacing	Position (°2θ)	I/Imax
3.119	28.62	13.2
3.070	29.09	40.4
2.888	30.96	60.6
2.856	31.32	36.2
2.807	31.88	100.0
2.784	32.15	33.2
2.715	32.99	14.2
2.590	34.63	33.7
2.542	35.30	14.0
1.912	47.56	14.4

(12)
Pr4Cd3In: calculated powder diffractogram (Cu Kα, 1.54184 Å), based on a DFT-relaxed cell (GGA-PBE, Alexandria).
No peak broadening, texture or thermal motion is included.

Crystal structure
Cell: 5.4946 5.4946 26.9984 Å, 90.00 90.00 120.00°
Space group R-3m (No. 166, hexagonal axes)
One atom of each set of equivalent atoms:
Pr (0.0000, 0.0000, 0.1247) [6 per cell]
Pr (0.0000, 0.0000, 0.3748) [6 per cell]
Cd (0.0000, 0.0000, 0.0000) [3 per cell]
Cd (0.0000, 0.0000, 0.2507) [6 per cell]
In (0.0000, 0.0000, 0.5000) [3 per cell]

Main lines, low angle first (2θ = 15–90°):
d_spacing	Position (°2θ)	I/Imax
3.889	22.87	1.3
2.750	32.56	100.0
1.945	46.71	18.1
1.590	57.99	9.3
1.587	58.13	27.8
1.376	68.13	5.7
1.374	68.28	5.7
1.231	77.58	7.9
1.229	77.69	7.8
1.122	86.81	3.0